1.
Computed XRD peak list of Te2W2SeS for Cu Kα X-rays, from the GGA-PBE geometry in the Materials Project.
Intensities are scaled so that the largest is 1000.

Principal peaks in the range 2θ from 15° to 90°, in order of rising 2θ:
| two_theta | I_rel |
| --- | --- |
| 30.40 | 466 |
| 32.54 | 167 |
| 35.68 | 1000 |
| 36.98 | 179 |
| 43.14 | 552 |
| 44.89 | 171 |
| 54.00 | 341 |
| 55.37 | 140 |
| 66.40 | 164 |
| 76.05 | 162 |

Crystal structure
Unit cell a=3.3969 b=3.3969 c=38.8731 alpha=90.00 beta=90.00 gamma=120.00
Positions (direct):
Te: 0.0000 0.0000 0.0000
Te: 0.0000 0.0000 0.0969
Te: 0.3333 0.6667 0.8120
Te: 0.3333 0.6667 0.9089
W: 0.0000 0.0000 0.4848
W: 0.0000 0.0000 0.8605
W: 0.3333 0.6667 0.0485
W: 0.3333 0.6667 0.6727
Se: 0.3333 0.6667 0.4422
Se: 0.3333 0.6667 0.5274
S: 0.0000 0.0000 0.6338
S: 0.0000 0.0000 0.7115

2.
Computed XRD peak list of LiAgO2 for Cu Kα X-rays, from the GGA-PBE geometry in the Materials Project.
Intensities are scaled so that the largest is 1000.

Principal peaks in the range 2θ from 15° to 90°, in order of rising 2θ:
| two_theta | I_rel |
| --- | --- |
| 18.66 | 972 |
| 28.71 | 679 |
| 32.94 | 143 |
| 34.46 | 1000 |
| 38.12 | 311 |
| 48.17 | 311 |
| 51.02 | 244 |
| 59.44 | 147 |
| 59.80 | 189 |
| 66.17 | 138 |

Crystal structure
Unit cell a=5.4384 b=4.7557 c=3.7908 alpha=90.00 beta=90.00 gamma=90.00
Positions (direct):
Li: 0.0000 0.0000 0.0000
Li: 0.5000 0.0000 0.5000
Ag: 0.0000 0.5000 0.5000
Ag: 0.5000 0.5000 0.0000
O: 0.2500 0.2520 0.2500
O: 0.2500 0.7480 0.7500
O: 0.7500 0.2520 0.2500
O: 0.7500 0.7480 0.7500

3.
Computed XRD peak list of Ta4Cu3Ni9 for Cu Kα X-rays, from the GGA-PBE geometry in the Materials Project.
Intensities are scaled so that the largest is 1000.

Principal peaks in the range 2θ from 15° to 90°, in order of rising 2θ:
| two_theta | I_rel |
| --- | --- |
| 26.29 | 108 |
| 26.88 | 153 |
| 28.71 | 110 |
| 40.21 | 240 |
| 41.84 | 289 |
| 45.58 | 1000 |
| 59.42 | 147 |
| 73.09 | 152 |
| 79.05 | 187 |
| 87.94 | 189 |

Crystal structure
Unit cell a=4.3183 b=10.3635 c=4.4825 alpha=90.00 beta=90.00 gamma=90.00
Positions (direct):
Ta: 0.0000 0.0000 0.0000
Ta: 0.0000 0.5000 0.0139
Ta: 0.5000 0.2449 0.6878
Ta: 0.5000 0.7551 0.6878
Cu: 0.0000 0.2501 0.0371
Cu: 0.0000 0.7499 0.0371
Cu: 0.5000 0.5000 0.6633
Ni: 0.0000 0.1246 0.5136
Ni: 0.0000 0.3734 0.5201
Ni: 0.0000 0.6266 0.5201
Ni: 0.0000 0.8754 0.5136
Ni: 0.5000 0.0000 0.6742
Ni: 0.5000 0.1226 0.1850
Ni: 0.5000 0.3749 0.1818
Ni: 0.5000 0.6251 0.1818
Ni: 0.5000 0.8774 0.1850

4.
Computed XRD peak list of Th2NiB10 for Cu Kα X-rays, from the GGA-PBE geometry in the Materials Project.
Intensities are scaled so that the largest is 1000.

Principal peaks in the range 2θ from 15° to 90°, in order of rising 2θ:
| two_theta | I_rel |
| --- | --- |
| 21.27 | 390 |
| 22.35 | 804 |
| 27.73 | 183 |
| 31.04 | 1000 |
| 31.95 | 189 |
| 38.48 | 283 |
| 38.70 | 416 |
| 39.34 | 166 |
| 45.61 | 168 |
| 49.27 | 285 |

Crystal structure
Unit cell a=5.6483 b=11.2045 c=4.1778 alpha=90.00 beta=90.00 gamma=90.00
Positions (direct):
Th: 0.1935 0.1367 0.0000
Th: 0.3065 0.6367 0.0000
Th: 0.6935 0.3633 0.0000
Th: 0.8065 0.8633 0.0000
Ni: 0.0000 0.5000 0.5000
Ni: 0.5000 0.0000 0.5000
B: 0.0367 0.3112 0.5000
B: 0.1246 0.9595 0.5000
B: 0.1524 0.8026 0.5000
B: 0.2021 0.3861 0.1998
B: 0.2021 0.3861 0.8002
B: 0.2979 0.8861 0.1998
B: 0.2979 0.8861 0.8002
B: 0.3476 0.3026 0.5000
B: 0.3754 0.4595 0.5000
B: 0.4633 0.8112 0.5000
B: 0.5367 0.1888 0.5000
B: 0.6246 0.5405 0.5000
B: 0.6524 0.6974 0.5000
B: 0.7021 0.1139 0.1998
B: 0.7021 0.1139 0.8002
B: 0.7979 0.6139 0.1998
B: 0.7979 0.6139 0.8002
B: 0.8476 0.1974 0.5000
B: 0.8754 0.0405 0.5000
B: 0.9633 0.6888 0.5000

5.
Computed XRD peak list of Na3N for Cu Kα X-rays, from the GGA-PBE geometry in the Materials Project.
Intensities are scaled so that the largest is 1000.

Principal peaks in the range 2θ from 15° to 90°, in order of rising 2θ:
| two_theta | I_rel |
| --- | --- |
| 31.73 | 695 |
| 34.11 | 531 |
| 37.66 | 495 |
| 38.59 | 549 |
| 39.33 | 457 |
| 39.50 | 835 |
| 41.37 | 888 |
| 41.69 | 1000 |
| 43.31 | 567 |
| 64.70 | 460 |

Crystal structure
Unit cell a=7.1899 b=7.7049 c=5.0646 alpha=90.00 beta=90.00 gamma=90.00
Positions (direct):
Na: 0.0300 0.2500 0.0871
Na: 0.1589 0.0662 0.6175
Na: 0.1589 0.4338 0.6175
Na: 0.3411 0.5662 0.1175
Na: 0.3411 0.9338 0.1175
Na: 0.4700 0.7500 0.5871
Na: 0.5300 0.2500 0.4129
Na: 0.6589 0.0662 0.8825
Na: 0.6589 0.4338 0.8825
Na: 0.8411 0.5662 0.3825
Na: 0.8411 0.9338 0.3825
Na: 0.9700 0.7500 0.9129
N: 0.1362 0.7500 0.4411
N: 0.3638 0.2500 0.9411
N: 0.6362 0.7500 0.0589
N: 0.8638 0.2500 0.5589

6.
Computed XRD peak list of UPd2S4 for Cu Kα X-rays, from the GGA-PBE geometry in the Materials Project.
Intensities are scaled so that the largest is 1000.

Principal peaks in the range 2θ from 15° to 90°, in order of rising 2θ:
| two_theta | I_rel |
| --- | --- |
| 23.85 | 372 |
| 26.07 | 367 |
| 30.41 | 1000 |
| 40.23 | 228 |
| 40.38 | 103 |
| 44.95 | 254 |
| 46.25 | 180 |
| 48.83 | 273 |
| 49.04 | 187 |
| 61.01 | 102 |

Crystal structure
Unit cell a=7.6318 b=7.6318 c=7.6318 alpha=127.25 beta=127.25 gamma=77.84
Positions (direct):
U: 0.3750 0.1250 0.2500
U: 0.6250 0.8750 0.7500
Pd: 0.0000 0.0000 0.5000
Pd: 0.0000 0.5000 0.0000
Pd: 0.0000 0.5000 0.5000
Pd: 0.5000 0.5000 0.0000
S: 0.0275 0.7339 0.9060
S: 0.2339 0.8279 0.7064
S: 0.3279 0.1215 0.5940
S: 0.3785 0.4725 0.2064
S: 0.6215 0.5275 0.7936
S: 0.6721 0.8785 0.4060
S: 0.7661 0.1721 0.2936
S: 0.9725 0.2661 0.0940

7.
Computed XRD peak list of Nb4GaSe8 for Cu Kα X-rays, from the GGA-PBE geometry in the Materials Project.
Intensities are scaled so that the largest is 1000.

Principal peaks in the range 2θ from 15° to 90°, in order of rising 2θ:
| two_theta | I_rel |
| --- | --- |
| 28.04 | 377 |
| 29.31 | 227 |
| 33.97 | 1000 |
| 37.13 | 169 |
| 41.93 | 349 |
| 44.61 | 333 |
| 48.81 | 837 |
| 60.80 | 175 |
| 76.59 | 221 |
| 81.57 | 155 |

Crystal structure
Unit cell a=7.4638 b=7.4638 c=7.4638 alpha=60.00 beta=60.00 gamma=60.00
Positions (direct):
Nb: 0.1028 0.1028 0.1028
Nb: 0.1028 0.1028 0.6917
Nb: 0.1028 0.6917 0.1028
Nb: 0.6917 0.1028 0.1028
Ga: 0.5000 0.5000 0.5000
Se: 0.3648 0.3648 0.3648
Se: 0.3648 0.3648 0.9056
Se: 0.3648 0.9056 0.3648
Se: 0.4042 0.8653 0.8653
Se: 0.8653 0.4042 0.8653
Se: 0.8653 0.8653 0.4042
Se: 0.8653 0.8653 0.8653
Se: 0.9056 0.3648 0.3648